[1]
Theoretical PXRD pattern of PWO4 for Cu Kα (λ = 1.5418 Å), from a PBE+U-relaxed structure.
Intensities are scaled so that the largest is 100.

Structure:
```
data_PWO4
_chemical_formula_sum 'P16 W16 O64'
_cell_length_a 18.865
_cell_length_b 5.248
_cell_length_c 16.608
_cell_angle_alpha 90.00
_cell_angle_beta 121.00
_cell_angle_gamma 90.00
_space_group_name_H-M_alt 'C 1 2/c 1'
_space_group_IT_number 15
_space_group_name_Hall '-C 2yc'
loop_
_atom_site_label
_atom_site_type_symbol
_atom_site_fract_x
_atom_site_fract_y
_atom_site_fract_z
P1 P 0.015 0.229 0.120
P2 P 0.211 0.267 0.857
W1 W 0.000 0.310 0.750
W2 W 0.111 0.266 0.988
W3 W 0.250 0.250 0.500
O1 O 0.008 0.054 0.867
O2 O 0.049 0.378 0.212
O3 O 0.069 0.353 0.455
O4 O 0.076 0.212 0.086
O5 O 0.133 0.285 0.868
O6 O 0.195 0.253 0.761
O7 O 0.226 0.013 0.074
O8 O 0.233 0.465 0.074
```

Main lines, low angle first (2θ = 10–90°):
d/Å, 2theta, I/Imax, (hkl)
7.639, 11.58, 100, 2 0 -2
7.118, 12.44, 79, 0 0 2
4.963, 17.87, 42, 1 1 -1
4.008, 22.18, 82, 3 1 -1
3.559, 25.02, 36, 0 0 4
3.350, 26.61, 46, 3 1 1
3.026, 29.52, 62, 5 1 -3
2.806, 31.89, 46, 3 1 -5
2.624, 34.17, 35, 0 2 0
2.537, 35.39, 52, 3 1 3

=====

[2]
Theoretical PXRD pattern of Ca8Ti3Mn5O23 for Cu Kα (λ = 1.5418 Å), from a PBE+U-relaxed structure.
Intensities are scaled so that the largest is 100.

Structure:
```
data_Ca8Ti3Mn5O23
_chemical_formula_sum 'Ca8 Ti3 Mn5 O23'
_cell_length_a 7.698
_cell_length_b 7.715
_cell_length_c 7.716
_cell_angle_alpha 90.00
_cell_angle_beta 90.00
_cell_angle_gamma 90.00
_space_group_name_H-M_alt 'P m m 2'
_space_group_IT_number 25
_space_group_name_Hall 'P 2 -2'
loop_
_atom_site_label
_atom_site_type_symbol
_atom_site_fract_x
_atom_site_fract_y
_atom_site_fract_z
Ca1 Ca 0.223 0.232 0.000
Ca2 Ca 0.233 0.240 0.494
Ti1 Ti 0.500 0.000 0.739
Ti2 Ti 0.500 0.500 0.234
Ti3 Ti 0.500 0.500 0.759
Mn1 Mn 0.000 0.000 0.249
Mn2 Mn 0.000 0.000 0.745
Mn3 Mn 0.000 0.500 0.251
Mn4 Mn 0.000 0.500 0.742
Mn5 Mn 0.500 0.000 0.250
O1 O 0.000 0.000 0.497
O2 O 0.000 0.000 0.996
O3 O 0.000 0.249 0.751
O4 O 0.000 0.250 0.242
O5 O 0.000 0.500 0.496
O6 O 0.000 0.500 0.997
O7 O 0.248 0.000 0.751
O8 O 0.250 0.000 0.242
O9 O 0.254 0.500 0.724
O10 O 0.255 0.500 0.272
O11 O 0.500 0.000 0.493
O12 O 0.500 0.000 0.997
O13 O 0.500 0.255 0.271
O14 O 0.500 0.258 0.711
O15 O 0.500 0.500 0.996
```

Main lines, low angle first (2θ = 10–90°):
d/Å, 2theta, I/Imax, (hkl)
7.703, 11.49, 6, 1 0 0
3.855, 23.07, 17, 0 0 2
2.726, 32.86, 100, 0 2 2
2.226, 40.53, 6, 2 2 2
1.929, 47.12, 35, 0 4 0
1.925, 47.23, 16, 4 0 0
1.574, 58.66, 33, 2 2 4
1.363, 68.89, 25, 0 4 4
1.220, 78.40, 9, 0 2 6
1.113, 87.70, 7, 4 4 4

=====

[3]
Theoretical PXRD pattern of Fe2Te3O9 for Cu Kα (λ = 1.5418 Å), from a PBE+U-relaxed structure.
Intensities are scaled so that the largest is 100.

Structure:
```
data_Fe2Te3O9
_chemical_formula_sum 'Fe8 Te12 O36'
_cell_length_a 7.936
_cell_length_b 18.022
_cell_length_c 5.353
_cell_angle_alpha 90.00
_cell_angle_beta 90.00
_cell_angle_gamma 90.00
_space_group_name_H-M_alt 'P n m a'
_space_group_IT_number 62
_space_group_name_Hall '-P 2ac 2n'
loop_
_atom_site_label
_atom_site_type_symbol
_atom_site_fract_x
_atom_site_fract_y
_atom_site_fract_z
Fe1 Fe 0.199 0.065 0.208
Te1 Te 0.118 0.626 0.188
Te2 Te 0.162 0.250 0.276
O1 O 0.046 0.571 0.890
O2 O 0.127 0.750 0.959
O3 O 0.163 0.123 0.524
O4 O 0.184 0.536 0.377
O5 O 0.223 0.171 0.048
```

Main lines, low angle first (2θ = 10–90°):
d/Å, 2theta, I/Imax, (hkl)
3.996, 22.24, 33, 0 3 1
3.311, 26.93, 29, 2 3 0
3.188, 27.99, 100, 2 0 1
2.990, 29.88, 77, 0 5 1
2.677, 33.48, 19, 0 0 2
2.668, 33.59, 28, 2 5 0
2.209, 40.84, 19, 1 4 2
1.890, 48.16, 29, 2 5 2
1.840, 49.55, 18, 2 8 1
1.567, 58.93, 20, 0 11 1

=====

[4]
Theoretical PXRD pattern of ZnFe2O4 for Cu Kα (λ = 1.5418 Å), from a PBE+U-relaxed structure.
Intensities are scaled so that the largest is 100.

Structure:
```
data_ZnFe2O4
_chemical_formula_sum 'Zn24 Fe48 O96'
_cell_length_a 6.0405
_cell_length_b 6.0405
_cell_length_c 59.1949
_cell_angle_alpha 90.00
_cell_angle_beta 90.00
_cell_angle_gamma 120.00
_space_group_name_H-M_alt 'R 3 m'
_space_group_IT_number 160
_space_group_name_Hall 'R 3 -2"'
loop_
_atom_site_label
_atom_site_type_symbol
_atom_site_fract_x
_atom_site_fract_y
_atom_site_fract_z
Zn1 Zn 0.0000 0.0000 0.0000
Zn2 Zn 0.0000 0.0000 0.0606
Zn3 Zn 0.0000 0.0000 0.1549
Zn4 Zn 0.0000 0.0000 0.2493
Zn5 Zn 0.0000 0.0000 0.3119
Zn6 Zn 0.0000 0.0000 0.4051
Zn7 Zn 0.0000 0.0000 0.5618
Zn8 Zn 0.0000 0.0000 0.8109
Fe1 Fe 0.0000 0.0000 0.4998
Fe2 Fe 0.0000 0.0000 0.6558
Fe3 Fe 0.0000 0.0000 0.7499
Fe4 Fe 0.0000 0.0000 0.9058
Fe5 Fe 0.0004 0.5002 0.2807
Fe6 Fe 0.0027 0.5013 0.5305
Fe7 Fe 0.0033 0.5017 0.0307
Fe8 Fe 0.0038 0.5019 0.7806
O1 O 0.0000 0.0000 0.0952
O2 O 0.0000 0.0000 0.2146
O3 O 0.0000 0.0000 0.3453
O4 O 0.0000 0.0000 0.4660
O5 O 0.0000 0.0000 0.5955
O6 O 0.0000 0.0000 0.7168
O7 O 0.0000 0.0000 0.8454
O8 O 0.0000 0.0000 0.9655
O9 O 0.0074 0.5037 0.8447
O10 O 0.0148 0.5074 0.0943
O11 O 0.0271 0.5136 0.5936
O12 O 0.0300 0.5150 0.3438
O13 O 0.1776 0.3552 0.0493
O14 O 0.1780 0.3560 0.7998
O15 O 0.1802 0.3605 0.3003
O16 O 0.1810 0.3621 0.5504
```

Main lines, low angle first (2θ = 10–90°):
d/Å, 2theta, I/Imax, (hkl)
4.932, 17.98, 6, 1 0 4
3.020, 29.58, 33, 1 1 0
2.576, 34.83, 100, 0 1 20
2.466, 36.43, 8, 2 0 8
2.136, 42.32, 16, 0 2 16
1.744, 52.47, 12, 3 0 0
1.644, 55.93, 36, 1 2 20
1.510, 61.39, 44, 2 2 0
1.303, 72.56, 10, 3 1 20
1.112, 87.76, 17, 1 0 52

=====

[5]
Theoretical PXRD pattern of MgV2Cu3O8 for Cu Kα (λ = 1.5418 Å), from a PBE+U-relaxed structure.
Intensities are scaled so that the largest is 100.

Structure:
```
data_MgV2Cu3O8
_chemical_formula_sum 'Mg1 V2 Cu3 O8'
_cell_length_a 5.419
_cell_length_b 6.119
_cell_length_c 6.769
_cell_angle_alpha 74.34
_cell_angle_beta 89.66
_cell_angle_gamma 65.66
_space_group_name_H-M_alt 'P -1'
_space_group_IT_number 2
_space_group_name_Hall '-P 1'
loop_
_atom_site_label
_atom_site_type_symbol
_atom_site_fract_x
_atom_site_fract_y
_atom_site_fract_z
Mg1 Mg 0.000 0.000 0.000
V1 V 0.338 0.798 0.320
Cu1 Cu 0.000 0.500 0.500
Cu2 Cu 0.390 0.345 0.156
O1 O 0.006 0.816 0.343
O2 O 0.236 0.112 0.172
O3 O 0.394 0.681 0.096
O4 O 0.406 0.326 0.469
```

Main lines, low angle first (2θ = 10–90°):
d/Å, 2theta, I/Imax, (hkl)
4.892, 18.13, 26, 1 0 0
4.154, 21.39, 19, 1 0 -1
4.130, 21.51, 20, 1 1 1
3.699, 24.06, 100, 1 0 1
3.216, 27.74, 56, 0 1 2
3.032, 29.46, 36, -1 1 1
2.922, 30.60, 52, 1 2 0
2.513, 35.73, 22, 1 1 -2
2.389, 37.66, 24, 2 0 -1
2.083, 43.45, 24, 1 1 3

=====

[6]
Theoretical PXRD pattern of ZnCrO4 for Cu Kα (λ = 1.5418 Å), from a PBE+U-relaxed structure.
Intensities are scaled so that the largest is 100.

Structure:
```
data_ZnCrO4
_chemical_formula_sum 'Zn4 Cr4 O16'
_cell_length_a 5.591
_cell_length_b 8.454
_cell_length_c 6.390
_cell_angle_alpha 90.00
_cell_angle_beta 90.00
_cell_angle_gamma 90.00
_space_group_name_H-M_alt 'C m c m'
_space_group_IT_number 63
_space_group_name_Hall '-C 2c 2'
loop_
_atom_site_label
_atom_site_type_symbol
_atom_site_fract_x
_atom_site_fract_y
_atom_site_fract_z
Zn1 Zn 0.000 0.000 0.000
Cr1 Cr 0.000 0.358 0.250
O1 O 0.000 0.246 0.042
O2 O 0.247 0.028 0.750
```

Main lines, low angle first (2θ = 10–90°):
d/Å, 2theta, I/Imax, (hkl)
4.663, 19.03, 28, 1 1 0
4.227, 21.02, 25, 0 2 0
3.767, 23.62, 62, 1 1 1
3.525, 25.26, 41, 0 2 1
2.795, 32.02, 42, 2 0 0
2.636, 34.01, 100, 1 1 2
2.516, 35.68, 54, 1 3 0
1.883, 48.32, 23, 2 2 2
1.581, 58.35, 20, 3 1 2
1.491, 62.27, 38, 2 4 2